No. 1
For MgCuAgPt, DFT lattice parameters and positions (PBE) gives the simulated X-ray diffraction stick pattern in this record (a wavelength of 1.5418 Å).
Lines closer than 0.1° are merged.

Cell and atoms:
```
MgCuAgPt
1.0
6.2932 0.0000 0.0000
0.0000 6.2932 0.0000
0.0000 0.0000 6.2932
Mg Cu Ag Pt
4 4 4 4
Cartesian
0.0000 0.0000 0.0000
0.0000 3.1466 3.1466
3.1466 0.0000 3.1466
3.1466 3.1466 0.0000
0.0000 0.0000 3.1466
0.0000 3.1466 0.0000
3.1466 0.0000 0.0000
3.1466 3.1466 3.1466
1.5733 1.5733 1.5733
1.5733 4.7199 4.7199
4.7199 1.5733 4.7199
4.7199 4.7199 1.5733
1.5733 1.5733 4.7199
1.5733 4.7199 1.5733
4.7199 1.5733 1.5733
4.7199 4.7199 4.7199
```

Most intense lines, 15° ≤ 2θ ≤ 90°, in order of rising 2θ:
24.5 deg, I 12.3; 28.4 deg, I 35.5; 40.5 deg, I 100.0; 47.9 deg, I 6.7; 50.2 deg, I 10.0; 58.7 deg, I 16.5; 64.5 deg, I 2.9; 66.4 deg, I 13.1; 73.8 deg, I 32.9; 87.7 deg, I 10.7


No. 2
For NdBeAl2Cu4, DFT lattice parameters and positions (PBE) gives the simulated X-ray diffraction stick pattern in this record (a wavelength of 1.5418 Å).
Lines closer than 0.1° are merged.

Cell and atoms:
```
NdBeAl2Cu4
1.0
2.0496 1.1833 8.4896
-2.0496 1.1833 8.4896
0.0000 -2.3666 8.4896
Nd Be Al Cu
1 1 2 4
Cartesian
0.0000 0.0000 0.0000
0.0000 0.0000 12.7344
0.0000 0.0000 6.0619
0.0000 0.0000 19.4070
0.0000 0.0000 3.5090
0.0000 0.0000 10.4612
0.0000 0.0000 15.0076
0.0000 0.0000 21.9599
```

Most intense lines, 15° ≤ 2θ ≤ 90°, in order of rising 2θ:
25.3 deg, I 25.2; 26.1 deg, I 32.8; 30.7 deg, I 67.1; 35.3 deg, I 97.5; 38.0 deg, I 50.7; 44.2 deg, I 100.0; 57.8 deg, I 22.3; 63.1 deg, I 15.6; 72.3 deg, I 15.5; 75.5 deg, I 19.2


No. 3
For Ho5Sc2In, DFT lattice parameters and positions (PBE) gives the simulated X-ray diffraction stick pattern in this record (a wavelength of 1.5418 Å).
Lines closer than 0.1° are merged.

Cell and atoms:
```
Ho5Sc2In
1.0
-4.2401 4.2401 6.2926
4.2401 -4.2401 6.2926
4.2401 4.2401 -6.2926
Ho Sc In
10 4 2
Cartesian
0.0000 0.0000 0.0000
2.9445 -1.2957 2.0164
5.5358 -1.2957 4.2761
5.5358 1.2957 2.0164
2.9445 1.2957 4.2761
0.0000 0.0000 6.2926
1.2957 2.9445 2.0164
-1.2957 2.9445 4.2761
-1.2957 5.5358 2.0164
1.2957 5.5358 4.2761
3.0500 1.1902 0.0000
3.0500 -1.1902 6.2926
1.1902 5.4303 0.0000
1.1902 3.0500 6.2926
0.0000 0.0000 3.1463
0.0000 0.0000 9.4389
```

Most intense lines, 15° ≤ 2θ ≤ 90°, in order of rising 2θ:
24.5 deg, I 23.6; 29.8 deg, I 12.0; 31.8 deg, I 100.0; 32.1 deg, I 21.9; 33.4 deg, I 65.5; 35.5 deg, I 19.0; 49.3 deg, I 12.3; 54.4 deg, I 12.3; 55.6 deg, I 12.8; 63.1 deg, I 22.6


No. 4
For Nd2ErTm4Mg, DFT lattice parameters and positions (PBE) gives the simulated X-ray diffraction stick pattern in this record (a wavelength of 1.5418 Å).
Lines closer than 0.1° are merged.

Cell and atoms:
```
Nd2ErTm4Mg
1.0
4.9362 0.0000 0.0000
0.0000 4.9502 0.0000
0.0000 0.0000 10.0607
Nd Er Tm Mg
2 1 4 1
Cartesian
0.0000 0.0000 0.0000
2.4681 2.4751 5.0304
0.0000 0.0000 5.0304
0.0000 2.4751 2.5163
0.0000 2.4751 7.5444
2.4681 0.0000 2.5198
2.4681 0.0000 7.5409
2.4681 2.4751 0.0000
```

Most intense lines, 15° ≤ 2θ ≤ 90°, in order of rising 2θ:
31.2 deg, I 100.0; 35.7 deg, I 17.4; 36.3 deg, I 16.6; 36.4 deg, I 16.5; 51.9 deg, I 24.1; 52.3 deg, I 11.7; 61.3 deg, I 14.6; 62.1 deg, I 14.0; 62.3 deg, I 13.9; 65.0 deg, I 12.2


No. 5
For Ac8Ru3Br3F, DFT lattice parameters and positions (PBE) gives the simulated X-ray diffraction stick pattern in this record (a wavelength of 1.5418 Å).
Lines closer than 0.1° are merged.

Cell and atoms:
```
Ac8Ru3Br3F
1.0
7.4652 -4.3044 0.0000
7.4652 4.3044 0.0000
-4.9815 0.0000 8.1752
Ac Ru Br F
8 3 3 1
Cartesian
3.6899 2.2208 5.6940
-0.0022 0.0000 5.7175
2.3969 0.0000 2.4777
6.2590 2.2208 2.4812
3.6899 -2.2208 5.6940
7.5520 0.0000 5.6974
9.9512 0.0000 2.4577
6.2590 -2.2208 2.4812
-2.4908 0.0000 4.0876
1.2418 2.1522 4.0876
1.2418 -2.1522 4.0876
3.7326 2.1522 0.0000
3.7326 -2.1522 0.0000
7.4652 0.0000 0.0000
4.9745 0.0000 4.0876
```

Most intense lines, 15° ≤ 2θ ≤ 90°, in order of rising 2θ:
25.0 deg, I 35.6; 28.0 deg, I 100.0; 30.1 deg, I 13.5; 35.1 deg, I 20.2; 38.0 deg, I 27.3; 42.0 deg, I 39.1; 47.5 deg, I 15.4; 51.2 deg, I 18.9; 54.3 deg, I 13.4; 68.3 deg, I 15.8


No. 6
For Na4PuCl6, DFT lattice parameters and positions (PBE) gives the simulated X-ray diffraction stick pattern in this record (a wavelength of 1.5418 Å).
Lines closer than 0.1° are merged.

Cell and atoms:
```
Na4PuCl6
1.0
6.1412 3.5456 4.8678
-6.1412 3.5456 4.8678
0.0000 -7.0913 4.8678
Na Pu Cl
8 2 12
Cartesian
-4.1177 -0.0409 6.0848
0.0000 0.0000 3.6509
-2.0235 -3.5865 8.5187
2.0943 -3.5456 6.0848
-2.0943 3.5456 8.5187
2.0235 3.5865 6.0848
0.0000 0.0000 10.9526
4.1178 0.0409 8.5187
0.0000 0.0000 0.0000
0.0000 0.0000 7.3017
-5.5036 -1.4136 8.0523
-1.5276 -5.4731 6.5511
-1.5276 -1.6182 5.6185
-3.9760 4.0595 6.5511
-0.6376 2.1320 5.6184
-2.1652 0.5138 8.9850
2.1652 -0.5138 5.6184
0.6376 -2.1320 8.9850
3.9760 -4.0595 8.0524
1.5276 1.6182 8.9850
1.5276 5.4731 8.0523
5.5036 1.4136 6.5511
```

Most intense lines, 15° ≤ 2θ ≤ 90°, in order of rising 2θ:
20.7 deg, I 100.0; 25.1 deg, I 48.7; 25.3 deg, I 30.0; 29.7 deg, I 36.8; 32.7 deg, I 65.9; 33.1 deg, I 99.1; 38.8 deg, I 36.2; 39.3 deg, I 43.7; 39.8 deg, I 28.5; 53.9 deg, I 26.8


No. 7
For PmPaTiO6, DFT lattice parameters and positions (PBE) gives the simulated X-ray diffraction stick pattern in this record (a wavelength of 1.5418 Å).
Lines closer than 0.1° are merged.

Cell and atoms:
```
PmPaTiO6
1.0
5.5033 0.0000 0.0000
-2.7516 4.7660 0.0000
0.0000 0.0000 4.7764
Pm Pa Ti O
1 1 1 6
Cartesian
0.0000 0.0000 0.0000
2.7516 1.5887 2.3882
0.0000 3.1773 0.0000
-0.9435 1.8061 1.1258
-1.6592 3.0458 3.6505
0.9435 1.8061 3.6505
-0.7157 4.6800 1.1258
1.6592 3.0458 1.1258
0.7157 4.6800 3.6505
```

Most intense lines, 15° ≤ 2θ ≤ 90°, in order of rising 2θ:
18.6 deg, I 21.3; 26.4 deg, I 100.0; 32.5 deg, I 36.5; 37.7 deg, I 13.9; 42.4 deg, I 35.9; 50.6 deg, I 36.7; 54.4 deg, I 31.0; 58.1 deg, I 12.0; 71.3 deg, I 13.4; 74.5 deg, I 11.2


No. 8
For LiLaCrN3, DFT lattice parameters and positions (PBE) gives the simulated X-ray diffraction stick pattern in this record (a wavelength of 1.5418 Å).
Lines closer than 0.1° are merged.

Cell and atoms:
```
LiLaCrN3
1.0
4.6653 -3.0473 0.0000
4.6653 3.0473 0.0000
-2.9248 0.0000 5.6527
Li La Cr N
2 2 2 6
Cartesian
4.6653 2.0027 0.0000
4.6653 -2.0027 0.0000
-0.0656 0.0000 3.8281
6.4713 0.0000 1.8246
3.3513 0.0000 1.6084
3.0544 0.0000 4.0443
2.1106 1.4055 3.8358
1.9564 0.0000 0.6143
4.2952 1.4055 1.8169
2.1106 -1.4055 3.8358
4.4493 0.0000 5.0384
4.2952 -1.4055 1.8169
```

Most intense lines, 15° ≤ 2θ ≤ 90°, in order of rising 2θ:
15.7 deg, I 48.2; 20.5 deg, I 96.7; 27.1 deg, I 47.3; 29.3 deg, I 70.8; 31.7 deg, I 38.3; 31.9 deg, I 72.0; 32.3 deg, I 100.0; 35.7 deg, I 64.2; 44.0 deg, I 33.2; 46.6 deg, I 40.8


No. 9
For K3NaTl, DFT lattice parameters and positions (PBE) gives the simulated X-ray diffraction stick pattern in this record (a wavelength of 1.5418 Å).
Lines closer than 0.1° are merged.

Cell and atoms:
```
K3NaTl
1.0
4.8236 0.0000 0.0000
2.3769 10.1012 0.0000
0.0130 0.4533 11.0314
K Na Tl
6 2 2
Cartesian
0.0000 0.0000 0.0000
2.3881 7.7772 4.9303
2.3940 3.8806 0.3390
2.4038 1.0815 7.2132
4.8137 7.1497 8.7487
4.8116 3.8950 4.5871
2.4132 0.6162 3.2233
4.8051 7.1543 1.7075
2.4019 4.8268 7.3021
4.8144 3.4070 8.6575
```

Most intense lines, 15° ≤ 2θ ≤ 90°, in order of rising 2θ:
18.0 deg, I 52.1; 23.9 deg, I 60.7; 24.8 deg, I 100.0; 28.2 deg, I 87.4; 28.8 deg, I 43.6; 29.5 deg, I 69.7; 30.7 deg, I 59.7; 31.0 deg, I 84.0; 33.7 deg, I 47.5; 37.3 deg, I 47.5


No. 10
For Ac3La4Tm2, DFT lattice parameters and positions (PBE) gives the simulated X-ray diffraction stick pattern in this record (a wavelength of 1.5418 Å).
Lines closer than 0.1° are merged.

Cell and atoms:
```
Ac3La4Tm2
1.0
6.5951 0.0000 0.0000
-0.0499 9.7797 0.0000
-3.1874 -3.7225 10.6535
Ac La Tm
6 8 4
Cartesian
-0.4821 3.4860 3.0292
0.5370 7.0340 4.0739
-0.4491 4.3306 10.0802
3.8069 1.7265 0.5733
2.8208 -0.9768 6.5797
3.8398 2.5711 7.6243
-2.5621 -0.4992 10.1156
-0.4469 0.6816 5.3269
-0.5302 -2.5119 7.6246
0.5537 0.8805 8.8427
2.8041 5.1767 1.8108
3.8880 8.5691 3.0289
3.8047 5.3756 5.3266
5.9199 6.5563 0.5379
0.5449 0.1551 1.7390
0.6464 4.0090 6.5265
2.7114 2.0481 4.1270
2.8129 5.9020 8.9145
```

Most intense lines, 15° ≤ 2θ ≤ 90°, in order of rising 2θ:
27.1 deg, I 47.7; 29.5 deg, I 70.2; 30.7 deg, I 100.0; 30.8 deg, I 90.1; 31.0 deg, I 90.7; 40.3 deg, I 22.5; 47.6 deg, I 37.0; 53.3 deg, I 19.8; 56.9 deg, I 21.6; 57.1 deg, I 21.2